Diffraction record for K2Ce2Fe4O11. The powder diffractogram is calculated, not measured: it uses DFT lattice parameters and positions (PBE+U) and Cu Kα.
Neutral-atom scattering factors, no anomalous dispersion.

Structure:
a b c (Å): 8.811 8.811 3.894
angles (deg): 90.00 90.00 126.71
Positions (direct):
1 K 0.000 0.500 0.000
2 K 0.500 0.000 0.000
3 Ce 0.234 0.234 0.000
4 Ce 0.766 0.766 0.000
5 Fe 0.126 0.874 0.500
6 Fe 0.369 0.631 0.500
7 Fe 0.631 0.369 0.500
8 Fe 0.874 0.126 0.500
9 O 0.000 0.000 0.500
10 O 0.107 0.893 0.000
11 O 0.168 0.356 0.500
12 O 0.250 0.750 0.500
13 O 0.356 0.168 0.500
14 O 0.413 0.587 0.000
15 O 0.587 0.413 0.000
16 O 0.644 0.832 0.500
17 O 0.750 0.250 0.500
18 O 0.832 0.644 0.500
19 O 0.893 0.107 0.000

Peak list (6 most intense, 2θ from 10° to 90°, sorted by position)
11.24°, I 50.1; 32.09°, I 54.0; 32.30°, I 100.0; 57.29°, I 18.3; 57.39°, I 25.0; 57.74°, I 19.3